# Li2TbWO6
Computed X-ray diffraction stick pattern, Cu Kα, 1.54184 Å. Input: a structure optimized by DFT (GGA+U).
Neutral-atom scattering factors, no anomalous dispersion.

Cell lengths 5.466, 5.438, 9.606 Å; angles 90.00, 124.39, 90.00 degrees
Element x y z (fractional)
Li1 0.207 0.021 0.239
Li2 0.207 0.479 0.739
Li3 0.793 0.521 0.261
Li4 0.793 0.979 0.761
Tb1 0.000 0.000 0.500
Tb2 0.000 0.500 0.000
W1 0.500 0.000 0.000
W2 0.500 0.500 0.500
O1 0.161 0.075 0.772
O2 0.161 0.425 0.272
O3 0.241 0.637 0.556
O4 0.241 0.863 0.056
O5 0.448 0.174 0.571
O6 0.448 0.326 0.071
O7 0.552 0.674 0.929
O8 0.552 0.826 0.429
O9 0.759 0.137 0.944
O10 0.759 0.363 0.444
O11 0.839 0.575 0.728
O12 0.839 0.925 0.228

Main lines, low angle first (2θ = 15–90°):
2theta, intensity
22.43, 57
23.07, 100
32.34, 38
32.46, 38
32.77, 21
32.94, 22
40.21, 29
47.15, 17
57.56, 14
58.40, 21